This entry pairs a crystal structure of RbMg6Sb with its computed powder diffractogram. Radiation: λ = 1.5418 Å (Cu Kα). Structure: a cell relaxed with PBE.
Peak positions follow from Bragg's law for the DFT cell and can differ from measured ones.

Most intense lines, 10° ≤ 2θ ≤ 80°, sorted by position:
14.62°, intensity 427
16.72°, intensity 347
22.28°, intensity 389
30.25°, intensity 344
34.08°, intensity 506
34.76°, intensity 1000

Structure:
```
data_RbMg6Sb
_chemical_formula_sum 'Rb2 Mg12 Sb2'
_symmetry_space_group_name_H-M 'A m m 2'
_symmetry_Int_Tables_number 38
_symmetry_space_group_name_Hall 'A 2 -2'
_cell_length_a 5.301
_cell_length_b 6.767
_cell_length_c 12.119
_cell_angle_alpha 90.00
_cell_angle_beta 90.00
_cell_angle_gamma 90.00
loop_
_atom_site_label
_atom_site_fract_x
_atom_site_fract_y
_atom_site_fract_z
Rb1 0.000 0.000 0.000
Mg1 0.000 0.247 0.249
Mg2 0.500 0.000 0.176
Mg3 0.500 0.000 0.668
Mg4 0.500 0.237 0.410
Sb1 0.000 0.000 0.495
```